Diffraction record for K2NaF4. The X-ray powder pattern is computed, not measured: it uses a crystal structure in Alexandria, relaxed with PBE and Cu Kα X-rays.
Neutral-atom scattering factors, no anomalous dispersion.

Most intense lines, 10 to 90 degrees two-theta, in order of rising 2θ:
- 2θ = 13.1°, rel. 294
- 2θ = 28.5°, rel. 493
- 2θ = 29.0°, rel. 960
- 2θ = 31.9°, rel. 307
- 2θ = 39.2°, rel. 494
- 2θ = 39.6°, rel. 805
- 2θ = 40.0°, rel. 304
- 2θ = 41.5°, rel. 1000
- 2θ = 59.0°, rel. 308
- 2θ = 60.1°, rel. 273

Crystal structure
abc: 7.433 7.433 7.433
angles: 145.95 145.95 48.91
Fractional positions:
1 K 0.136 0.136 0.000
2 K 0.864 0.864 0.000
3 Na 0.500 0.500 0.000
4 F 0.000 0.500 0.500
5 F 0.329 0.329 0.000
6 F 0.500 0.000 0.500
7 F 0.671 0.671 0.000